Starting from a structure optimized by DFT (PBE), the powder XRD pattern of Ho2Er3 was calculated for copper Kα.
Kinematic intensities with the Lorentz-polarization factor, no thermal factor.

Crystal structure
abc: 11.690 6.203 9.067
angles: 90.00 109.97 90.00
Space group C2/c (No. 15)
Inequivalent atoms, fractional coordinates:
Ho: 0.100 0.167 0.450 [8 per cell]
Er: 0.000 0.334 0.750 [4 per cell]
Er: 0.200 0.334 0.150 [8 per cell]

Peak list (10 most intense, 2θ = 15–90°, sorted by position)
28.78°, intensity 24, hkl 1 1 2; 32.18°, intensity 24, hkl 4 0 -2; 33.07°, intensity 100, hkl 2 2 -1; 43.71°, intensity 15, hkl 5 1 0; 51.00°, intensity 20, hkl 2 0 4; 57.94°, intensity 20, hkl 6 2 -3; 61.60°, intensity 23, hkl 6 0 2; 62.14°, intensity 16, hkl 4 2 3; 84.45°, intensity 14, hkl 3 5 1; 89.15°, intensity 9, hkl 10 0 0